Record 1
This entry pairs a crystal structure of LiVCuO4 with its calculated powder diffraction line list. Radiation: a wavelength of 1.5418 Å. Structure: a structure optimized by DFT (GGA+U).
Peak positions follow from Bragg's law for the DFT cell and can differ from measured ones.

Cell and atoms:
```
data_LiVCuO4
_chemical_formula_sum 'Li4 V4 Cu4 O16'
_symmetry_space_group_name_H-M 'C m c m'
_symmetry_Int_Tables_number 63
_symmetry_space_group_name_Hall '-C 2c 2'
_cell_length_a 5.8077
_cell_length_b 8.3586
_cell_length_c 6.3965
_cell_angle_alpha 90.00
_cell_angle_beta 90.00
_cell_angle_gamma 90.00
loop_
_atom_site_label
_atom_site_type_symbol
_atom_site_fract_x
_atom_site_fract_y
_atom_site_fract_z
Li1 Li 0.0000 0.1691 0.2500
V1 V 0.0000 0.1517 0.7500
Cu1 Cu 0.0000 0.5000 0.0000
O1 O 0.0000 0.2694 0.5263
O2 O 0.2381 0.0198 0.7500
```

The 10 most intense peaks (5 to 70 degrees two-theta), in order of rising 2θ:
two_theta  I_rel  index
18.60  28  1 1 0
21.26  17  0 2 0
23.26  43  1 1 1
25.46  24  0 2 1
30.79  44  2 0 0
33.74  100  1 1 2
35.74  44  1 3 0
47.56  25  2 2 2
56.66  18  3 1 2
61.92  33  2 4 2



Record 2
This entry pairs a crystal structure of LiVCuO4 with its calculated powder diffraction line list. Radiation: a wavelength of 1.5418 Å. Structure: a structure optimized by DFT (GGA+U).
Peak positions follow from Bragg's law for the DFT cell and can differ from measured ones.

Cell and atoms:
```
data_LiVCuO4
_chemical_formula_sum 'Li4 V4 Cu4 O16'
_symmetry_space_group_name_H-M 'I m m a'
_symmetry_Int_Tables_number 74
_symmetry_space_group_name_Hall '-I 2b 2'
_cell_length_a 5.9610
_cell_length_b 5.9864
_cell_length_c 11.2776
_cell_angle_alpha 90.00
_cell_angle_beta 90.00
_cell_angle_gamma 90.00
loop_
_atom_site_label
_atom_site_type_symbol
_atom_site_fract_x
_atom_site_fract_y
_atom_site_fract_z
Li1 Li 0.0000 0.0000 0.0000
V1 V 0.0000 0.2500 0.1792
Cu1 Cu 0.2500 0.2500 0.7500
O1 O 0.0000 0.0413 0.7674
O2 O 0.2135 0.2500 0.0811
```

The 10 most intense peaks (5 to 70 degrees two-theta), in order of rising 2θ:
two_theta  I_rel  index
15.72  100  0 0 2
16.82  23  1 0 1
26.36  18  1 1 2
28.04  52  0 1 3
29.85  24  0 2 0
34.54  39  2 1 1
41.49  33  2 1 3
42.84  21  0 1 5
56.06  15  2 3 1
61.09  13  2 3 3